RbErVO4: theoretical X-ray powder pattern (a wavelength of 1.5418 Å), based on DFT lattice parameters and positions (PBE+U).

The 8 most intense peaks (5 to 70 degrees two-theta), low angle first:
index	2θ (°)	I_rel
0 0 1	12.14	100.0
1 1 0	21.82	82.4
0 1 2	28.75	36.2
1 1 -2	28.86	40.9
0 2 0	30.15	55.3
1 1 2	36.68	43.7
2 1 -2	36.94	39.3
0 2 2	39.20	40.2

Crystal structure
abc: 5.9106 5.9274 7.6895
angles: 90.00 108.51 90.00
Space group P2_1/m (No. 11)
Inequivalent atoms, fractional coordinates:
Rb1 0.2160 0.2500 0.4433 x2
Er1 0.3223 0.2500 0.9620 x2
V1 0.2145 0.7500 0.1475 x2
O1 0.0106 0.7500 0.9274 x2
O2 0.0324 0.7500 0.2931 x2
O3 0.4520 0.5266 0.1642 x4